Entry 1:
This entry pairs a crystal structure of Rb3Mg with its theoretical powder diffractogram. Radiation: Cu Kα (weighted mean of Kα1 and Kα2). Structure: the PBE geometry in the Materials Project.

Most intense lines, 2θ = 10–90°, by angle:
d/Å	2θ/deg	I (rel.)
4.759	18.65	16
4.063	21.88	34
3.711	23.98	29
3.641	24.45	15
3.617	24.61	100
2.520	35.63	26
2.124	42.56	17
2.085	43.41	29

Crystal structure
Lattice parameters (Å, degrees): 8.5526 8.5526 8.5526 145.76 63.25 128.57
Fractional coordinates of all 4 atoms:
Rb1 0.0000 0.0000 0.0000
Rb2 0.3309 0.5395 0.7914
Rb3 0.7482 0.5395 0.2086
Mg1 0.4491 0.9491 0.5000


Entry 2:
This entry pairs a crystal structure of RbMg15 with its theoretical powder diffractogram. Radiation: Cu Kα (weighted mean of Kα1 and Kα2). Structure: the PBE geometry in the Materials Project.

Most intense lines, 2θ = 10–90°, by angle:
d/Å	2θ/deg	I (rel.)
2.870	31.16	25
2.655	33.76	25
2.525	35.55	100
1.949	46.60	16
1.657	55.45	18
1.507	61.55	17
1.406	66.51	19
1.385	67.62	14

Crystal structure
Lattice parameters (Å, degrees): 6.6286 6.6286 10.6203 90.00 90.00 120.00
Fractional coordinates of all 16 atoms:
Rb1 0.0000 0.0000 0.0000
Mg1 0.0000 0.0000 0.5000
Mg2 0.0076 0.5038 0.0000
Mg3 0.1722 0.3445 0.2649
Mg4 0.1722 0.3445 0.7351
Mg5 0.1722 0.8278 0.2649
Mg6 0.1722 0.8278 0.7351
Mg7 0.4962 0.5038 0.0000
Mg8 0.4962 0.9924 0.0000
Mg9 0.5013 0.0025 0.5000
Mg10 0.5013 0.4987 0.5000
Mg11 0.6555 0.8278 0.2649
Mg12 0.6555 0.8278 0.7351
Mg13 0.6667 0.3333 0.2467
Mg14 0.6667 0.3333 0.7533
Mg15 0.9975 0.4987 0.5000


Entry 3:
This entry pairs a crystal structure of Rb2Mg with its theoretical powder diffractogram. Radiation: Cu Kα (weighted mean of Kα1 and Kα2). Structure: the PBE geometry in the Materials Project.

Most intense lines, 2θ = 10–90°, by angle:
d/Å	2θ/deg	I (rel.)
4.247	20.92	63
3.846	23.12	45
3.703	24.03	51
3.602	24.72	48
3.574	24.91	76
3.324	26.82	100
2.379	37.82	52
1.959	46.36	27

Crystal structure
Lattice parameters (Å, degrees): 8.0398 8.0398 11.1867 111.02 111.02 33.60
Fractional coordinates of all 6 atoms:
Rb1 0.0176 0.0176 0.1910
Rb2 0.3295 0.3295 0.3630
Rb3 0.6705 0.6705 0.6370
Rb4 0.9824 0.9824 0.8090
Mg1 0.2982 0.2982 0.9570
Mg2 0.7018 0.7018 0.0430


Entry 4:
This entry pairs a crystal structure of Rb2Mg with its theoretical powder diffractogram. Radiation: Cu Kα (weighted mean of Kα1 and Kα2). Structure: the PBE geometry in the Materials Project.

Most intense lines, 2θ = 10–90°, by angle:
d/Å	2θ/deg	I (rel.)
4.691	18.92	48
4.394	20.21	34
4.334	20.49	59
3.697	24.07	43
3.628	24.54	100
3.599	24.74	44
3.161	28.23	90
2.646	33.87	30

Crystal structure
Lattice parameters (Å, degrees): 9.9653 9.9653 8.9807 104.60 104.60 25.82
Fractional coordinates of all 6 atoms:
Rb1 0.1194 0.1194 0.0618
Rb2 0.1571 0.1571 0.5928
Rb3 0.8429 0.8429 0.4072
Rb4 0.8806 0.8806 0.9382
Mg1 0.4977 0.4977 0.6756
Mg2 0.5023 0.5023 0.3244